# 1
Diffraction record for GdHf3Pb2C2. The PXRD pattern is theoretical, not measured: it uses a crystal structure in OQMD, relaxed with GGA-PBE and Cu Ka.
Neutral-atom scattering factors, no anomalous dispersion.

Principal peaks in the range 2θ = 10–90°, by intensity:
| 2θ (°) | intensity | index |
| --- | --- | --- |
| 35.0 | 100.0 | 1 0 3 |
| 30.1 | 23.2 | 1 0 0 |
| 53.5 | 21.3 | 1 1 0 |
| 65.8 | 20.2 | 1 1 6 |
| 35.5 | 19.6 | 0 0 6 |
| 65.6 | 16.6 | 0 2 3 |
| 63.4 | 15.7 | 1 0 9 |
| 89.5 | 15.3 | 2 1 3 |
| 47.2 | 14.7 | 0 1 6 |
| 87.5 | 6.8 | 0 2 9 |
| 74.1 | 3.9 | 2 0 6 |
| 62.6 | 3.1 | 2 0 0 |

Atomic structure:
```
data_GdHf3Pb2C2
_space_group_name_H-M_alt 'P 3 m 1'
_space_group_IT_number 156
_space_group_name_Hall 'P 3 -2"'
_cell_length_a 3.4267
_cell_length_b 3.4267
_cell_length_c 15.1884
_cell_angle_alpha 90.00
_cell_angle_beta 90.00
_cell_angle_gamma 120.00
loop_
_atom_site_label
_atom_site_type_symbol
_atom_site_fract_x
_atom_site_fract_y
_atom_site_fract_z
_atom_site_occupancy
Gd1 Gd 0.0000 0.0000 0.0000 1
Hf1 Hf 0.0000 0.0000 0.6540 1
Hf2 Hf 0.6667 0.3333 0.1710 1
Hf3 Hf 0.6667 0.3333 0.4983 1
Pb1 Pb 0.0000 0.0000 0.3351 1
Pb2 Pb 0.6667 0.3333 0.8190 1
C1 C 0.3333 0.6667 0.0996 1
C2 C 0.3333 0.6667 0.5761 1
```

# 2
Diffraction record for Nd2IN. The PXRD pattern is theoretical, not measured: it uses a crystal structure in OQMD, relaxed with GGA-PBE and Cu Ka.
Neutral-atom scattering factors, no anomalous dispersion.

Principal peaks in the range 2θ = 10–90°, by intensity:
| 2θ (°) | intensity | index |
| --- | --- | --- |
| 32.5 | 100.0 | 1 0 3 |
| 47.9 | 23.7 | 1 1 0 |
| 27.1 | 23.0 | 1 0 0 |
| 61.0 | 20.6 | 1 1 6 |
| 59.1 | 17.9 | 0 2 3 |
| 35.4 | 16.3 | 0 0 6 |
| 61.8 | 15.4 | 1 0 9 |
| 79.4 | 15.2 | 2 1 3 |
| 45.2 | 14.8 | 0 1 6 |
| 81.8 | 7.0 | 0 2 9 |
| 87.4 | 4.4 | 1 2 6 |
| 68.0 | 4.3 | 2 0 6 |

Atomic structure:
```
data_Nd2IN
_space_group_name_H-M_alt 'P 3 m 1'
_space_group_IT_number 156
_space_group_name_Hall 'P 3 -2"'
_cell_length_a 3.7977
_cell_length_b 3.7977
_cell_length_c 15.1944
_cell_angle_alpha 90.00
_cell_angle_beta 90.00
_cell_angle_gamma 120.00
loop_
_atom_site_label
_atom_site_type_symbol
_atom_site_fract_x
_atom_site_fract_y
_atom_site_fract_z
_atom_site_occupancy
Nd1 Nd 0.0000 0.0000 0.0000 1
Nd2 Nd 0.0000 0.0000 0.3277 1
Nd3 Nd 0.6667 0.3333 0.4991 1
Nd4 Nd 0.6667 0.3333 0.8283 1
I1 I 0.0000 0.0000 0.6635 1
I2 I 0.6667 0.3333 0.1635 1
N1 N 0.3333 0.6667 0.4133 1
N2 N 0.3333 0.6667 0.9143 1
```